1.
Structure and simulated powder diffraction line list of RbCo2Se2 (a DFT-relaxed cell (GGA-PBE, the Materials Project); Cu Kα).

Main lines, sorted by position (5 to 70 degrees two-theta):
2θ = 12.69°, intensity 329, (0 0 2)
2θ = 29.82°, intensity 1000, (1 0 3)
2θ = 32.32°, intensity 100, (1 1 0)
2θ = 34.85°, intensity 254, (1 1 2)
2θ = 41.63°, intensity 154, (1 1 4)
2θ = 46.36°, intensity 333, (2 0 0)
2θ = 51.30°, intensity 455, (1 1 6)
2θ = 56.10°, intensity 324, (2 1 3)
2θ = 64.66°, intensity 84, (1 0 9)
2θ = 67.64°, intensity 103, (2 2 0)

Structural model:
```
data_RbCo2Se2
_cell_length_a 3.917
_cell_length_b 3.917
_cell_length_c 13.952
_cell_angle_alpha 90.00
_cell_angle_beta 90.00
_cell_angle_gamma 90.00
_symmetry_space_group_name_H-M 'I 4/m m m'
_symmetry_Int_Tables_number 139
_symmetry_space_group_name_Hall '-I 4 2'
loop_
_atom_site_label
_atom_site_fract_x
_atom_site_fract_y
_atom_site_fract_z
_atom_site_occupancy
Rb1 0.000 0.000 0.000 1
Co1 0.000 0.500 0.250 1
Se1 0.000 0.000 0.344 1
```

2.
Structure and simulated powder diffraction line list of LiCuPO4 (a DFT-relaxed cell (GGA-PBE, the Materials Project); Cu Kα).

Main lines, sorted by position (5 to 70 degrees two-theta):
2θ = 19.32°, intensity 451, (1 1 0)
2θ = 22.07°, intensity 232, (0 2 0)
2θ = 24.01°, intensity 309, (1 1 1)
2θ = 26.29°, intensity 170, (0 2 1)
2θ = 32.00°, intensity 384, (2 0 0)
2θ = 34.62°, intensity 1000, (1 1 2)
2θ = 37.14°, intensity 385, (1 3 0)
2θ = 43.34°, intensity 227, (2 0 2)
2θ = 49.15°, intensity 294, (2 2 2)
2θ = 64.26°, intensity 281, (2 4 2)

Structural model:
```
data_LiCuPO4
_cell_length_a 5.594
_cell_length_b 8.056
_cell_length_c 6.274
_cell_angle_alpha 90.00
_cell_angle_beta 90.00
_cell_angle_gamma 90.00
_symmetry_space_group_name_H-M 'C m c m'
_symmetry_Int_Tables_number 63
_symmetry_space_group_name_Hall '-C 2c 2'
loop_
_atom_site_label
_atom_site_fract_x
_atom_site_fract_y
_atom_site_fract_z
_atom_site_occupancy
Li1 0.000 0.174 0.250 1
Cu1 0.000 0.500 0.000 1
P1 0.000 0.153 0.750 1
O1 0.000 0.260 0.546 1
O2 0.223 0.034 0.750 1
```

3.
Structure and simulated powder diffraction line list of Li3U7As5O35 (a DFT-relaxed cell (GGA-PBE, the Materials Project); Cu Kα).

Main lines, sorted by position (5 to 70 degrees two-theta):
2θ = 13.43°, intensity 321, (1 0 1)
2θ = 16.94°, intensity 500, (1 0 2)
2θ = 18.06°, intensity 637, (1 1 1)
2θ = 21.60°, intensity 715, (0 1 3)
2θ = 24.08°, intensity 931, (0 2 0)
2θ = 24.30°, intensity 913, (2 0 0)
2θ = 26.84°, intensity 1000, (1 0 4)
2θ = 34.47°, intensity 486, (2 2 0)
2θ = 36.39°, intensity 289, (1 2 4)
2θ = 40.26°, intensity 307, (1 1 6)

Structural model:
```
data_Li3U7As5O35
_cell_length_a 7.326
_cell_length_b 7.391
_cell_length_c 14.889
_cell_angle_alpha 90.00
_cell_angle_beta 90.00
_cell_angle_gamma 90.00
_symmetry_space_group_name_H-M 'P m m 2'
_symmetry_Int_Tables_number 25
loop_
_symmetry_equiv_pos_as_xyz
'x,y,z'
'-x,-y,z'
'-x,y,z'
'x,-y,z'
loop_
_atom_site_label
_atom_site_fract_x
_atom_site_fract_y
_atom_site_fract_z
_atom_site_occupancy
Li1 0.000 0.000 0.000 1
Li2 0.000 0.500 0.443 1
Li3 0.500 0.500 0.275 1
U1 0.000 0.000 0.423 1
U2 0.000 0.000 0.708 1
U3 0.000 0.500 0.143 1
U4 0.500 0.000 0.284 1
U5 0.500 0.000 0.997 1
U6 0.500 0.500 0.571 1
U7 0.500 0.500 0.860 1
As1 0.000 0.000 0.199 1
As2 0.000 0.500 0.642 1
As3 0.500 0.000 0.511 1
As4 0.500 0.000 0.773 1
As5 0.500 0.500 0.083 1
O1 0.000 0.000 0.577 1
O2 0.000 0.000 0.830 1
O3 0.000 0.184 0.130 1
O4 0.000 0.246 0.422 1
O5 0.000 0.306 0.704 1
O6 0.000 0.500 0.023 1
O7 0.000 0.500 0.266 1
O8 0.174 0.000 0.277 1
O9 0.186 0.500 0.569 1
O10 0.252 0.000 0.993 1
O11 0.256 0.500 0.859 1
O12 0.306 0.000 0.709 1
O13 0.316 0.500 0.154 1
O14 0.320 0.000 0.435 1
O15 0.500 0.000 0.142 1
O16 0.500 0.177 0.848 1
O17 0.500 0.195 0.571 1
O18 0.500 0.247 0.290 1
O19 0.500 0.324 0.007 1
O20 0.500 0.500 0.449 1
O21 0.500 0.500 0.698 1
```